# 1
Simulated X-ray diffraction stick pattern
Compound: ZrCoNF2
Radiation: Cu Ka
Structure: a DFT-relaxed cell (PBE+U, Alexandria)
Neutral-atom scattering factors, no anomalous dispersion.

Atomic structure:
a b c (Å): 4.2004 4.2004 4.2459
angles (deg): 90.00 90.00 90.00
Space group P4/mmm (No. 123)
Inequivalent atoms, fractional coordinates:
1 Zr 0.0000 0.0000 0.0000
2 Co 0.5000 0.5000 0.5000
3 N 0.0000 0.0000 0.5000
4 F 0.0000 0.5000 0.0000

Most intense lines, 2θ = 10–80°, most intense first:
two_theta  d_spacing  Rel. int.
29.9  2.986  1000
30.1  2.970  412
53.3  1.718  386
43.1  2.100  380
62.2  1.493  227
42.6  2.123  197
53.0  1.727  163
70.9  1.329  147
21.2  4.200  129
62.5  1.485  111
78.6  1.217  106
20.9  4.246  102


# 2
Simulated X-ray diffraction stick pattern
Compound: AlFeIrO6
Radiation: Cu Ka
Structure: a DFT-relaxed cell (PBE+U, Alexandria)
Neutral-atom scattering factors, no anomalous dispersion.

Atomic structure:
a b c (Å): 4.9636 4.9636 8.7063
angles (deg): 90.00 90.00 120.00
Space group P-31c (No. 163)
Inequivalent atoms, fractional coordinates:
1 Al 0.3333 0.6667 0.2500
2 Fe 0.0000 0.0000 0.0000
3 Ir 0.3333 0.6667 0.7500
4 O 0.0072 0.3487 0.1312

Most intense lines, 2θ = 10–80°, most intense first:
two_theta  d_spacing  Rel. int.
23.1  3.854  1000
29.2  3.059  847
56.2  1.636  469
36.2  2.482  432
41.9  2.156  342
20.4  4.353  324
37.4  2.405  312
47.2  1.927  219
43.4  2.087  212
60.9  1.522  203
65.1  1.433  184
57.7  1.597  181


Repeat the second record exactly.
Simulated X-ray diffraction stick pattern
Compound: AlFeIrO6
Radiation: Cu Ka
Structure: a DFT-relaxed cell (PBE+U, Alexandria)
Neutral-atom scattering factors, no anomalous dispersion.

Atomic structure:
a b c (Å): 4.9636 4.9636 8.7063
angles (deg): 90.00 90.00 120.00
Space group P-31c (No. 163)
Inequivalent atoms, fractional coordinates:
1 Al 0.3333 0.6667 0.2500
2 Fe 0.0000 0.0000 0.0000
3 Ir 0.3333 0.6667 0.7500
4 O 0.0072 0.3487 0.1312

Most intense lines, 2θ = 10–80°, most intense first:
two_theta  d_spacing  Rel. int.
23.1  3.854  1000
29.2  3.059  847
56.2  1.636  469
36.2  2.482  432
41.9  2.156  342
20.4  4.353  324
37.4  2.405  312
47.2  1.927  219
43.4  2.087  212
60.9  1.522  203
65.1  1.433  184
57.7  1.597  181